[1]
Diffraction record for CsPmPd2F8. The powder diffraction line list is calculated, not measured: it uses a DFT-relaxed cell (GGA-PBE, Alexandria) and Cu Kα X-rays.
No peak broadening, texture or thermal motion is included.

Structure:
Unit cell a=6.0929 b=6.0929 c=8.4801 alpha=90.00 beta=90.00 gamma=120.00
Fractional coordinates of all 12 atoms:
Cs (0.0000, 0.0000, 0.0000)
Pm (0.0000, 0.0000, 0.5000)
Pd (0.3333, 0.6667, 0.7597)
Pd (0.6667, 0.3333, 0.2403)
F (0.0387, 0.3057, 0.6682)
F (0.2670, 0.9613, 0.6682)
F (0.3057, 0.2670, 0.3318)
F (0.3333, 0.6667, 0.9957)
F (0.6667, 0.3333, 0.0043)
F (0.6943, 0.7330, 0.6682)
F (0.7330, 0.0387, 0.3318)
F (0.9613, 0.6943, 0.3318)

Top 10 peaks for 2θ from 10° to 90°, in order of falling intensity:
27.0 deg, d = 3.305 Å, rel. 100; 29.3 deg, d = 3.046 Å, rel. 75; 19.8 deg, d = 4.480 Å, rel. 74; 40.3 deg, d = 2.240 Å, rel. 41; 50.6 deg, d = 1.805 Å, rel. 40; 52.6 deg, d = 1.740 Å, rel. 37; 16.8 deg, d = 5.277 Å, rel. 35; 52.0 deg, d = 1.759 Å, rel. 23; 67.7 deg, d = 1.383 Å, rel. 15; 46.8 deg, d = 1.941 Å, rel. 14



[2]
Diffraction record for In6Hg2Pb. The powder diffraction line list is calculated, not measured: it uses a DFT-relaxed cell (GGA-PBE, Alexandria) and Cu Kα X-rays.
No peak broadening, texture or thermal motion is included.

Structure:
Unit cell a=6.0963 b=6.0963 c=12.9454 alpha=92.71 beta=92.71 gamma=31.45
Fractional coordinates of all 9 atoms:
In (0.0360, 0.0360, 0.2514)
In (0.2588, 0.2588, 0.6133)
In (0.3743, 0.3743, 0.9525)
In (0.6257, 0.6257, 0.0475)
In (0.7412, 0.7412, 0.3867)
In (0.9640, 0.9640, 0.7486)
Hg (0.3157, 0.3157, 0.1826)
Hg (0.6843, 0.6843, 0.8174)
Pb (0.0000, 0.0000, 0.5000)

Top 10 peaks for 2θ from 10° to 90°, in order of falling intensity:
30.9 deg, d = 2.891 Å, rel. 100; 35.6 deg, d = 2.523 Å, rel. 94; 31.6 deg, d = 2.828 Å, rel. 86; 29.0 deg, d = 3.079 Å, rel. 62; 38.7 deg, d = 2.324 Å, rel. 60; 40.0 deg, d = 2.252 Å, rel. 52; 34.8 deg, d = 2.576 Å, rel. 43; 65.0 deg, d = 1.434 Å, rel. 35; 31.5 deg, d = 2.839 Å, rel. 30; 61.5 deg, d = 1.509 Å, rel. 26



[3]
Diffraction record for NpAl2Ge2. The powder diffraction line list is calculated, not measured: it uses a DFT-relaxed cell (GGA-PBE, Alexandria) and Cu Kα X-rays.
No peak broadening, texture or thermal motion is included.

Structure:
Unit cell a=11.3775 b=11.3775 c=4.0663 alpha=90.00 beta=90.00 gamma=159.19
Fractional coordinates of all 10 atoms:
Np (0.1477, 0.8523, 0.7500)
Np (0.8523, 0.1477, 0.2500)
Al (0.0427, 0.9573, 0.2500)
Al (0.4558, 0.5442, 0.2500)
Al (0.5442, 0.4558, 0.7500)
Al (0.9573, 0.0427, 0.7500)
Ge (0.2507, 0.7493, 0.2500)
Ge (0.3651, 0.6349, 0.7500)
Ge (0.6349, 0.3651, 0.2500)
Ge (0.7493, 0.2507, 0.7500)

Top 10 peaks for 2θ from 10° to 90°, in order of falling intensity:
37.0 deg, d = 2.428 Å, rel. 100; 15.8 deg, d = 5.595 Å, rel. 29; 31.2 deg, d = 2.867 Å, rel. 20; 23.3 deg, d = 3.822 Å, rel. 19; 33.2 deg, d = 2.695 Å, rel. 19; 24.7 deg, d = 3.600 Å, rel. 18; 40.3 deg, d = 2.238 Å, rel. 17; 44.1 deg, d = 2.055 Å, rel. 16; 44.6 deg, d = 2.033 Å, rel. 16; 76.4 deg, d = 1.247 Å, rel. 12



[4]
Diffraction record for Sr8Li2Zn. The powder diffraction line list is calculated, not measured: it uses a DFT-relaxed cell (GGA-PBE, Alexandria) and Cu Kα X-rays.
No peak broadening, texture or thermal motion is included.

Structure:
Unit cell a=10.7950 b=10.7950 c=8.0359 alpha=107.18 beta=107.18 gamma=32.80
Fractional coordinates of all 11 atoms:
Sr (0.0233, 0.0233, 0.2879)
Sr (0.2024, 0.2024, 0.8035)
Sr (0.3454, 0.3454, 0.5361)
Sr (0.4092, 0.4092, 0.0717)
Sr (0.5908, 0.5908, 0.9283)
Sr (0.6546, 0.6546, 0.4639)
Sr (0.7976, 0.7976, 0.1965)
Sr (0.9767, 0.9767, 0.7121)
Li (0.1818, 0.1818, 0.2159)
Li (0.8182, 0.8182, 0.7841)
Zn (0.5000, 0.5000, 0.5000)

Top 10 peaks for 2θ from 10° to 90°, in order of falling intensity:
29.3 deg, d = 3.048 Å, rel. 100; 26.4 deg, d = 3.372 Å, rel. 79; 25.1 deg, d = 3.547 Å, rel. 76; 29.1 deg, d = 3.070 Å, rel. 75; 26.7 deg, d = 3.338 Å, rel. 75; 26.9 deg, d = 3.310 Å, rel. 60; 26.0 deg, d = 3.424 Å, rel. 37; 30.8 deg, d = 2.901 Å, rel. 35; 51.9 deg, d = 1.763 Å, rel. 35; 27.3 deg, d = 3.262 Å, rel. 26